Computed XRD peak list
Compound: Ba4Np3S10
Radiation: Cu Ka
Structure: the PBE geometry in Alexandria
Intensities are scaled so that the largest is 100.

Structure:
```
data_Ba4Np3S10
_symmetry_space_group_name_H-M 'I 4/m m m'
_symmetry_Int_Tables_number 139
_symmetry_space_group_name_Hall '-I 4 2'
_cell_length_a 5.2146
_cell_length_b 5.2146
_cell_length_c 36.5309
_cell_angle_alpha 90.00
_cell_angle_beta 90.00
_cell_angle_gamma 90.00
loop_
_atom_site_label
_atom_site_type_symbol
_atom_site_fract_x
_atom_site_fract_y
_atom_site_fract_z
Ba1 Ba 0.0000 0.0000 0.0690
Ba2 Ba 0.0000 0.0000 0.2003
Np1 Np 0.0000 0.0000 0.3566
Np2 Np 0.0000 0.0000 0.5000
S1 S 0.0000 0.0000 0.2850
S2 S 0.0000 0.0000 0.4287
S3 S 0.0000 0.5000 0.0000
S4 S 0.0000 0.5000 0.1407
```

Top 6 peaks for 5° ≤ 2θ ≤ 70°, sorted by position:
| Position (°2θ) | I (rel.) | hkl |
| --- | --- | --- |
| 24.1 | 100 | 1 1 0 |
| 34.4 | 40 | 2 0 0 |
| 42.5 | 42 | 2 1 7 |
| 49.4 | 26 | 2 2 0 |
| 55.7 | 18 | 3 1 0 |
| 67.2 | 18 | 3 2 7 |

Computed XRD peak list
Compound: Tm4ThSc2
Radiation: Cu Ka
Structure: the PBE geometry in Alexandria
Intensities are scaled so that the largest is 100.

Structure:
```
data_Tm4ThSc2
_symmetry_space_group_name_H-M 'C m m e'
_symmetry_Int_Tables_number 67
_symmetry_space_group_name_Hall '-C 2a 2'
_cell_length_a 15.5158
_cell_length_b 15.5555
_cell_length_c 3.4573
_cell_angle_alpha 90.00
_cell_angle_beta 90.00
_cell_angle_gamma 90.00
loop_
_atom_site_label
_atom_site_type_symbol
_atom_site_fract_x
_atom_site_fract_y
_atom_site_fract_z
Tm1 Tm 0.1407 0.1092 0.0007
Th1 Th 0.0000 0.2500 0.5021
Sc1 Sc 0.0000 0.0000 0.5000
Sc2 Sc 0.2500 0.2500 0.5000
```

Top 6 peaks for 5° ≤ 2θ ≤ 70°, sorted by position:
| Position (°2θ) | I (rel.) | hkl |
| --- | --- | --- |
| 25.6 | 30 | 4 2 0 |
| 28.3 | 25 | 0 2 1 |
| 32.6 | 53 | 4 4 0 |
| 34.7 | 100 | 4 0 1 |
| 49.9 | 30 | 4 6 1 |
| 59.6 | 31 | 8 4 1 |